Calculated X-ray diffraction stick pattern
Compound: BaFe4O7
Radiation: Cu Ka
Structure: a PBE+U-relaxed structure
Kinematic intensities with the Lorentz-polarization factor, no thermal factor.

Cell and atoms:
```
data_BaFe4O7
_space_group_name_H-M_alt 'P 63 m c'
_space_group_IT_number 186
_space_group_name_Hall 'P 6c -2c'
_cell_length_a 6.4889
_cell_length_b 6.4889
_cell_length_c 10.5681
_cell_angle_alpha 90.00
_cell_angle_beta 90.00
_cell_angle_gamma 120.00
loop_
_atom_site_label
_atom_site_type_symbol
_atom_site_fract_x
_atom_site_fract_y
_atom_site_fract_z
Ba1 Ba 0.3333 0.6667 0.0000
Fe1 Fe 0.0000 0.0000 0.4577
Fe2 Fe 0.1704 0.3408 0.6989
O1 O 0.0000 0.0000 0.2675
O2 O 0.0271 0.5135 0.7546
O3 O 0.1538 0.3077 0.5230
```

Principal peaks in the range 5° ≤ 2θ ≤ 70°, sorted by position:
| d (Å) | I_rel | hkl |
| --- | --- | --- |
| 4.962 | 74 | 1 0 1 |
| 3.244 | 17 | 1 1 0 |
| 2.985 | 45 | 1 0 3 |
| 2.765 | 82 | 1 1 2 |
| 2.715 | 100 | 2 0 1 |
| 2.642 | 32 | 0 0 4 |
| 1.819 | 17 | 2 1 3 |
| 1.766 | 21 | 3 0 2 |
| 1.689 | 30 | 2 0 5 |
| 1.622 | 32 | 2 2 0 |
| 1.492 | 12 | 2 0 6 |
| 1.382 | 21 | 2 2 4 |

Calculated X-ray diffraction stick pattern
Compound: BaFe2O4
Radiation: Cu Ka
Structure: a PBE+U-relaxed structure
Kinematic intensities with the Lorentz-polarization factor, no thermal factor.

Cell and atoms:
```
data_BaFe2O4
_space_group_name_H-M_alt 'C m c 21'
_space_group_IT_number 36
_cell_length_a 8.6179
_cell_length_b 19.4420
_cell_length_c 5.5066
_cell_angle_alpha 90.00
_cell_angle_beta 90.00
_cell_angle_gamma 90.00
loop_
_space_group_symop_operation_xyz
'x,y,z'
'-x,-y,z+1/2'
'-x,y,z'
'x,-y,z+1/2'
'x+1/2,y+1/2,z'
'-x+1/2,-y+1/2,z+1/2'
'-x+1/2,y+1/2,z'
'x+1/2,-y+1/2,z+1/2'
loop_
_atom_site_label
_atom_site_type_symbol
_atom_site_fract_x
_atom_site_fract_y
_atom_site_fract_z
Ba1 Ba 0.0000 0.1199 0.0000
Ba2 Ba 0.0000 0.3698 0.5328
Fe1 Fe 0.2084 0.2099 0.5282
Fe2 Fe 0.2199 0.0439 0.5071
O1 O 0.0000 0.0509 0.5195
O2 O 0.0000 0.2173 0.6338
O3 O 0.2052 0.3735 0.1538
O4 O 0.2123 0.2089 0.1813
O5 O 0.2220 0.4616 0.6731
```

Principal peaks in the range 5° ≤ 2θ ≤ 70°, sorted by position:
| d (Å) | I_rel | hkl |
| --- | --- | --- |
| 4.791 | 14 | 0 2 1 |
| 3.224 | 50 | 2 4 0 |
| 3.204 | 100 | 2 2 1 |
| 2.793 | 60 | 0 6 1 |
| 2.753 | 32 | 0 0 2 |
| 2.154 | 16 | 4 0 0 |
| 2.117 | 15 | 2 8 0 |
| 2.094 | 28 | 2 4 2 |
| 1.706 | 19 | 4 6 1 |
| 1.687 | 13 | 2 10 1 |
| 1.664 | 14 | 2 2 3 |
| 1.597 | 15 | 0 6 3 |

Calculated X-ray diffraction stick pattern
Compound: BaFe2P2O8
Radiation: Cu Ka
Structure: a PBE+U-relaxed structure
Kinematic intensities with the Lorentz-polarization factor, no thermal factor.

Cell and atoms:
```
data_BaFe2P2O8
_space_group_name_H-M_alt 'P 1'
_space_group_IT_number 1
_cell_length_a 4.9438
_cell_length_b 4.9463
_cell_length_c 16.1916
_cell_angle_alpha 81.49
_cell_angle_beta 81.73
_cell_angle_gamma 60.02
loop_
_space_group_symop_operation_xyz
'x,y,z'
loop_
_atom_site_label
_atom_site_type_symbol
_atom_site_fract_x
_atom_site_fract_y
_atom_site_fract_z
Ba1 Ba 0.0000 0.0000 0.0000
Ba2 Ba 0.4876 0.5202 0.5000
Fe1 Fe 0.0874 0.0930 0.7448
Fe2 Fe 0.3988 0.4321 0.7549
Fe3 Fe 0.5783 0.5875 0.2448
Fe4 Fe 0.9149 0.9260 0.2551
P1 P 0.2013 0.2299 0.3618
P2 P 0.2829 0.2910 0.1380
P3 P 0.7081 0.7162 0.8618
P4 P 0.7803 0.8013 0.6380
O1 O 0.0125 0.7396 0.8304
O2 O 0.0766 0.4928 0.6682
O3 O 0.1702 0.2009 0.4576
O4 O 0.2223 0.9337 0.3302
O5 O 0.2547 0.5909 0.1689
O6 O 0.3250 0.3124 0.0423
O7 O 0.4110 0.0219 0.8300
O8 O 0.4793 0.7721 0.6690
O9 O 0.5048 0.2541 0.3296
O10 O 0.5743 0.9882 0.1740
O11 O 0.6785 0.6805 0.9575
O12 O 0.7312 0.4235 0.8280
O13 O 0.7580 0.0919 0.6735
O14 O 0.8077 0.8438 0.5422
O15 O 0.9062 0.5327 0.3288
O16 O 0.9756 0.2731 0.1679
```

Principal peaks in the range 5° ≤ 2θ ≤ 70°, sorted by position:
| d (Å) | I_rel | hkl |
| --- | --- | --- |
| 4.216 | 41 | 1 0 1 |
| 4.038 | 35 | 0 1 -1 |
| 3.990 | 35 | 0 0 4 |
| 3.199 | 100 | 1 0 -3 |
| 3.179 | 50 | 1 1 4 |
| 2.683 | 22 | 1 1 -4 |
| 2.673 | 21 | 0 1 5 |
| 2.662 | 31 | 1 0 5 |
| 2.473 | 99 | 1 -1 0 |
| 2.107 | 49 | 1 2 -3 |
| 1.549 | 21 | 1 -1 8 |
| 1.428 | 31 | 3 3 2 |

Calculated X-ray diffraction stick pattern
Compound: BaFe3P3O12
Radiation: Cu Ka
Structure: a PBE+U-relaxed structure
Kinematic intensities with the Lorentz-polarization factor, no thermal factor.

Cell and atoms:
```
data_BaFe3P3O12
_space_group_name_H-M_alt 'I m m a'
_space_group_IT_number 74
_space_group_name_Hall '-I 2b 2'
_cell_length_a 10.6878
_cell_length_b 13.6456
_cell_length_c 6.7226
_cell_angle_alpha 90.00
_cell_angle_beta 90.00
_cell_angle_gamma 90.00
loop_
_atom_site_label
_atom_site_type_symbol
_atom_site_fract_x
_atom_site_fract_y
_atom_site_fract_z
Ba1 Ba 0.0000 0.2500 0.1093
Fe1 Fe 0.0000 0.0000 0.5000
Fe2 Fe 0.2500 0.1320 0.7500
P1 P 0.0000 0.2500 0.6042
P2 P 0.2500 0.0720 0.2500
O1 O 0.0000 0.1564 0.4740
O2 O 0.1172 0.2500 0.7422
O3 O 0.1377 0.0009 0.7061
O4 O 0.2161 0.1343 0.0673
```

Principal peaks in the range 5° ≤ 2θ ≤ 70°, sorted by position:
| d (Å) | I_rel | hkl |
| --- | --- | --- |
| 4.370 | 72 | 1 2 1 |
| 4.207 | 43 | 2 2 0 |
| 4.000 | 35 | 2 1 1 |
| 3.121 | 44 | 1 1 2 |
| 2.875 | 100 | 2 4 0 |
| 2.845 | 49 | 2 0 2 |
| 2.672 | 41 | 4 0 0 |
| 2.621 | 29 | 1 3 2 |
| 2.211 | 18 | 0 1 3 |
| 2.153 | 18 | 3 3 2 |
| 1.783 | 21 | 4 4 2 |
| 1.648 | 18 | 2 5 3 |